Diffraction record for MnCuPbF6. The powder diffractogram is simulated, not measured: it uses a PBE+U-relaxed structure and Cu Kα.
Intensities are scaled so that the largest is 100.

Atomic structure:
a = 5.518 Å, b = 5.518 Å, c = 10.507 Å
α = 90.00°, β = 90.00°, γ = 120.00°
Sites, in units of the cell vectors:
Mn  0.333  0.667  0.250
Mn  0.667  0.333  0.750
Cu  0.333  0.667  0.750
Cu  0.667  0.333  0.250
Pb  0.000  0.000  0.000
Pb  0.000  0.000  0.500
F  0.012  0.367  0.642
F  0.012  0.645  0.858
F  0.355  0.367  0.858
F  0.355  0.988  0.642
F  0.367  0.012  0.142
F  0.367  0.355  0.358
F  0.633  0.645  0.642
F  0.633  0.988  0.858
F  0.645  0.012  0.358
F  0.645  0.633  0.142
F  0.988  0.355  0.142
F  0.988  0.633  0.358

The 8 most intense peaks (5° ≤ 2θ ≤ 70°), low angle first:
2θ = 18.57°, I 22
2θ = 25.19°, I 100
2θ = 32.45°, I 27
2θ = 41.52°, I 26
2θ = 47.81°, I 35
2θ = 53.66°, I 25
2θ = 55.92°, I 11
2θ = 57.89°, I 12